The following is a theoretical XRD peak list of Rb2Mg2Se3. It was derived from DFT lattice parameters and positions (PBE), using Cu Kα.
Kinematic intensities with the Lorentz-polarization factor, no thermal factor.

Structure:
a = 17.3406 Å, b = 15.2913 Å, c = 7.3775 Å
α = 90.00°, β = 114.04°, γ = 90.00°
Space group C2/c (No. 15)
Symmetry-distinct sites (fractional):
Rb1 0.0000 0.0667 0.2500
Rb2 0.0000 0.2121 0.7500
Rb3 0.0979 0.4098 0.5657
Mg1 0.1946 0.2304 0.2630
Mg2 0.2249 0.0764 0.8006
Se1 0.1194 0.3709 0.0777
Se2 0.1516 0.2043 0.5607
Se3 0.1716 0.0734 0.0896

Largest 10 diffraction maxima, by angle, 2θ = 5–70°:
2θ (°), d_spacing, I (rel.)
23.9, 3.723, 53.9
24.1, 3.688, 35.2
25.6, 3.482, 24.2
26.9, 3.320, 83.2
28.8, 3.101, 58.9
31.2, 2.865, 100.0
32.9, 2.726, 32.6
40.7, 2.215, 23.8
41.7, 2.165, 21.1
50.8, 1.798, 23.9